Entry 1:
# NaCo2H3S2O10
Computed X-ray diffraction stick pattern, CuKα. Input: a crystal structure in the Materials Project, relaxed with PBE+U.

Top 8 peaks for 2θ = 10–80°, by angle:
13.2 deg, I 100, hkl 0 0 1; 16.9 deg, I 81, hkl 2 0 -1; 24.5 deg, I 40, hkl 2 0 -2; 26.7 deg, I 57, hkl 2 0 1; 31.9 deg, I 33, hkl 3 1 -2; 33.9 deg, I 47, hkl 2 2 -1; 38.5 deg, I 39, hkl 2 0 2; 50.7 deg, I 27, hkl 4 2 -3

Crystal structure
```
data_NaCo2H3S2O10
_chemical_formula_sum 'Na2 Co4 H6 S4 O20'
_symmetry_space_group_name_H-M 'C 1 m 1'
_symmetry_Int_Tables_number 8
_cell_length_a 11.070
_cell_length_b 6.118
_cell_length_c 7.492
_cell_angle_alpha 90.00
_cell_angle_beta 116.48
_cell_angle_gamma 90.00
loop_
_symmetry_equiv_pos_as_xyz
'x,y,z'
'x,-y,z'
'x+1/2,y+1/2,z'
'x+1/2,-y+1/2,z'
loop_
_atom_site_label
_atom_site_type_symbol
_atom_site_fract_x
_atom_site_fract_y
_atom_site_fract_z
_atom_site_occupancy
Na1 Na 0.000 0.000 0.000 1
Co1 Co 0.253 0.258 0.506 1
H1 H 0.035 0.000 0.564 1
H2 H 0.101 0.500 0.195 1
H3 H 0.389 0.000 0.811 1
S1 S 0.040 0.500 0.774 1
S2 S 0.460 0.000 0.258 1
O1 O 0.057 0.318 0.230 1
O2 O 0.137 0.000 0.637 1
O3 O 0.171 0.000 0.844 1
O4 O 0.230 0.500 0.627 1
O5 O 0.263 0.000 0.396 1
O6 O 0.322 0.500 0.212 1
O7 O 0.357 0.500 0.410 1
O8 O 0.436 0.182 0.785 1
```

***

Entry 2:
# MgCr2O4
Computed X-ray diffraction stick pattern, CuKα. Input: a crystal structure in the Materials Project, relaxed with PBE+U.

Top 8 peaks for 2θ = 10–80°, by angle:
18.0 deg, I 28, hkl 0 0 3; 18.1 deg, I 25, hkl 1 0 1; 35.0 deg, I 30, hkl 0 1 5; 35.1 deg, I 100, hkl 0 2 1; 42.6 deg, I 53, hkl 0 2 4; 56.4 deg, I 32, hkl 1 2 5; 61.7 deg, I 35, hkl 2 0 8; 62.0 deg, I 35, hkl 2 2 0

Crystal structure
```
data_MgCr2O4
_chemical_formula_sum 'Mg6 Cr12 O24'
_symmetry_space_group_name_H-M 'P 3 m 1'
_symmetry_Int_Tables_number 156
_cell_length_a 5.9866
_cell_length_b 5.9866
_cell_length_c 14.7741
_cell_angle_alpha 90.00
_cell_angle_beta 90.00
_cell_angle_gamma 120.00
loop_
_symmetry_equiv_pos_as_xyz
'x,y,z'
'-y,x-y,z'
'-x+y,-x,z'
'-y,-x,z'
'-x+y,y,z'
'x,x-y,z'
loop_
_atom_site_label
_atom_site_type_symbol
_atom_site_fract_x
_atom_site_fract_y
_atom_site_fract_z
_atom_site_occupancy
Mg1 Mg 0.0000 0.0000 0.0000 1
Mg2 Mg 0.0000 0.0000 0.2427 1
Mg3 Mg 0.0000 0.0000 0.6232 1
Mg4 Mg 0.3333 0.6667 0.6665 1
Mg5 Mg 0.6667 0.3333 0.3278 1
Mg6 Mg 0.6667 0.3333 0.9576 1
Cr1 Cr 0.1677 0.3355 0.4523 1
Cr2 Cr 0.3292 0.1646 0.7865 1
Cr3 Cr 0.3333 0.6667 0.2856 1
Cr4 Cr 0.3333 0.6667 0.9081 1
Cr5 Cr 0.5009 0.0018 0.1203 1
Cr6 Cr 0.6667 0.3333 0.5753 1
O1 O 0.0000 0.0000 0.3816 1
O2 O 0.0000 0.0000 0.8602 1
O3 O 0.0300 0.5150 0.3742 1
O4 O 0.1538 0.3076 0.7101 1
O5 O 0.1822 0.3645 0.2008 1
O6 O 0.3175 0.1587 0.5300 1
O7 O 0.3333 0.6667 0.0461 1
O8 O 0.3333 0.6667 0.5260 1
O9 O 0.3577 0.1789 0.0444 1
O10 O 0.5088 0.0176 0.8640 1
O11 O 0.6667 0.3333 0.1935 1
O12 O 0.6667 0.3333 0.7135 1
```

***

Entry 3:
# Na2MnHgF6
Computed X-ray diffraction stick pattern, CuKα. Input: a crystal structure in the Materials Project, relaxed with PBE+U.

Top 8 peaks for 2θ = 10–80°, by angle:
17.6 deg, I 46, hkl 1 1 1; 20.3 deg, I 100, hkl 2 0 0; 28.9 deg, I 97, hkl 2 2 0; 34.0 deg, I 39, hkl 3 1 1; 41.3 deg, I 45, hkl 4 0 0; 46.5 deg, I 44, hkl 4 2 0; 51.2 deg, I 40, hkl 4 2 2; 59.8 deg, I 27, hkl 4 4 0

Crystal structure
```
data_Na2MnHgF6
_chemical_formula_sum 'Na8 Mn4 Hg4 F24'
_symmetry_space_group_name_H-M 'F m -3 m'
_symmetry_Int_Tables_number 225
_symmetry_space_group_name_Hall '-F 4 2 3'
_cell_length_a 8.742
_cell_length_b 8.742
_cell_length_c 8.742
_cell_angle_alpha 90.00
_cell_angle_beta 90.00
_cell_angle_gamma 90.00
loop_
_atom_site_label
_atom_site_type_symbol
_atom_site_fract_x
_atom_site_fract_y
_atom_site_fract_z
_atom_site_occupancy
Na1 Na 0.250 0.250 0.250 1
Mn1 Mn 0.000 0.000 0.000 1
Hg1 Hg 0.000 0.000 0.500 1
F1 F 0.000 0.000 0.233 1
```

***

Entry 4:
# Li2V3O6
Computed X-ray diffraction stick pattern, CuKα. Input: a crystal structure in the Materials Project, relaxed with PBE+U.

Top 8 peaks for 2θ = 10–80°, by angle:
18.0 deg, I 100, hkl 0 1 -1; 35.0 deg, I 12, hkl -1 1 1; 35.1 deg, I 12, hkl 1 1 0; 35.8 deg, I 11, hkl 0 1 2; 42.0 deg, I 24, hkl 1 -2 0; 42.3 deg, I 24, hkl 1 2 -1; 43.7 deg, I 21, hkl 0 0 3; 61.8 deg, I 7, hkl 2 0 -1

Crystal structure
```
data_Li2V3O6
_chemical_formula_sum 'Li2 V3 O6'
_symmetry_space_group_name_H-M 'P -1'
_symmetry_Int_Tables_number 2
_cell_length_a 3.003
_cell_length_b 6.117
_cell_length_c 6.585
_cell_angle_alpha 103.77
_cell_angle_beta 103.12
_cell_angle_gamma 90.33
loop_
_symmetry_equiv_pos_as_xyz
'x,y,z'
'-x,-y,-z'
loop_
_atom_site_label
_atom_site_type_symbol
_atom_site_fract_x
_atom_site_fract_y
_atom_site_fract_z
_atom_site_occupancy
Li1 Li 0.162 0.314 0.321 1
V1 V 0.160 0.849 0.319 1
V2 V 0.500 0.500 0.000 1
O1 O 0.002 0.714 0.000 1
O2 O 0.323 0.917 0.643 1
O3 O 0.345 0.401 0.692 1
```